(1)
# LaTaSb2Ir2
Calculated PXRD pattern, CuKα. Input: a crystal structure in OQMD, relaxed with PBE.
Peak positions follow from Bragg's law for the DFT cell and can differ from measured ones.

Main lines, in order of rising 2θ (10° ≤ 2θ ≤ 80°):
2θ (°), d_spacing, Rel. int.
23.31, 3.816, 30
23.91, 3.722, 34
27.33, 3.263, 11
38.28, 2.351, 21
39.03, 2.308, 100
39.80, 2.265, 28
46.63, 1.948, 10
56.39, 1.632, 22
69.70, 1.349, 9
71.73, 1.316, 18

Structure:
Cell: 4.5301 9.4060 6.5295 Å, 90.00 90.00 90.00°
Atoms (fractional coordinates):
La: 0.0000 0.1189 0.0000
La: 0.5000 0.8811 0.5000
Ta: 0.0000 0.6119 0.0047
Ta: 0.5000 0.3881 0.5047
Sb: 0.0000 0.1470 0.4947
Sb: 0.0000 0.6218 0.5157
Sb: 0.5000 0.3782 0.0157
Sb: 0.5000 0.8530 0.9947
Ir: 0.0000 0.3965 0.2689
Ir: 0.0000 0.8308 0.2184
Ir: 0.5000 0.1692 0.7184
Ir: 0.5000 0.6035 0.7689


(2)
# LiIr
Calculated PXRD pattern, CuKα. Input: a crystal structure in OQMD, relaxed with PBE.
Peak positions follow from Bragg's law for the DFT cell and can differ from measured ones.

Main lines, in order of rising 2θ (10° ≤ 2θ ≤ 80°):
2θ (°), d_spacing, Rel. int.
20.22, 4.391, 100
39.09, 2.304, 59
41.11, 2.195, 18
44.40, 2.040, 87
58.03, 1.589, 38
63.57, 1.464, 5
70.83, 1.330, 11
74.53, 1.273, 18
77.22, 1.235, 17

Structure:
Cell: 2.6607 2.6607 4.3909 Å, 90.00 90.00 120.00°
Atoms (fractional coordinates):
Li: 0.0000 0.0000 0.0000
Ir: 0.6667 0.3333 0.5000


(3)
# LiIr
Calculated PXRD pattern, CuKα. Input: a crystal structure in OQMD, relaxed with PBE.
Peak positions follow from Bragg's law for the DFT cell and can differ from measured ones.

Main lines, in order of rising 2θ (10° ≤ 2θ ≤ 80°):
2θ (°), d_spacing, Rel. int.
20.31, 4.372, 100
39.73, 2.269, 55
41.30, 2.186, 18
41.55, 2.173, 54
48.29, 1.885, 35
52.90, 1.731, 24
64.06, 1.453, 14
70.51, 1.336, 12
70.86, 1.330, 11
74.59, 1.272, 18

Structure:
Cell: 2.6598 2.6598 13.1150 Å, 90.00 90.00 120.00°
Atoms (fractional coordinates):
Li: 0.0000 0.0000 0.0000
Li: 0.3333 0.6667 0.6661
Li: 0.6667 0.3333 0.3339
Ir: 0.0000 0.0000 0.5000
Ir: 0.3333 0.6667 0.1669
Ir: 0.6667 0.3333 0.8331


(4)
# Li2Mg2Tl2IrPd
Calculated PXRD pattern, CuKα. Input: a crystal structure in OQMD, relaxed with PBE.
Peak positions follow from Bragg's law for the DFT cell and can differ from measured ones.

Main lines, in order of rising 2θ (10° ≤ 2θ ≤ 80°):
2θ (°), d_spacing, Rel. int.
23.56, 3.777, 86
27.27, 3.271, 4
38.94, 2.313, 100
46.02, 1.972, 44
56.19, 1.637, 12
56.36, 1.632, 6
61.82, 1.501, 19
70.49, 1.336, 23
70.60, 1.334, 12
75.47, 1.260, 11

Structure:
Cell: 4.6298 4.6298 6.5296 Å, 90.00 90.00 90.00°
Atoms (fractional coordinates):
Li: 0.0000 0.0000 0.0000
Li: 0.5000 0.5000 0.5000
Mg: 0.0000 0.5000 0.2456
Mg: 0.5000 0.0000 0.7544
Tl: 0.0000 0.5000 0.7540
Tl: 0.5000 0.0000 0.2460
Ir: 0.5000 0.5000 0.0000
Pd: 0.0000 0.0000 0.5000


(5)
# Li4MgSiIr2
Calculated PXRD pattern, CuKα. Input: a crystal structure in OQMD, relaxed with PBE.
Peak positions follow from Bragg's law for the DFT cell and can differ from measured ones.

Main lines, in order of rising 2θ (10° ≤ 2θ ≤ 80°):
2θ (°), d_spacing, Rel. int.
25.75, 3.460, 100
29.39, 3.039, 11
30.03, 2.976, 27
36.47, 2.464, 9
42.52, 2.126, 35
42.99, 2.104, 20
49.96, 1.825, 10
50.79, 1.798, 32
52.93, 1.730, 9
78.46, 1.219, 12

Structure:
Cell: 4.2082 4.2082 6.0777 Å, 90.00 90.00 90.00°
Atoms (fractional coordinates):
Li: 0.0000 0.0000 0.0000
Li: 0.0000 0.5000 0.7377
Li: 0.5000 0.0000 0.2623
Li: 0.5000 0.5000 0.5000
Mg: 0.5000 0.5000 0.0000
Si: 0.0000 0.0000 0.5000
Ir: 0.0000 0.5000 0.2872
Ir: 0.5000 0.0000 0.7128


(6)
# LiNd2IrN2
Calculated PXRD pattern, CuKα. Input: a crystal structure in OQMD, relaxed with PBE.
Peak positions follow from Bragg's law for the DFT cell and can differ from measured ones.

Main lines, in order of rising 2θ (10° ≤ 2θ ≤ 80°):
2θ (°), d_spacing, Rel. int.
12.88, 6.871, 57
25.89, 3.442, 39
32.75, 2.734, 86
34.50, 2.600, 84
35.36, 2.538, 100
45.64, 1.988, 27
48.35, 1.882, 18
59.01, 1.565, 36
60.75, 1.525, 33
64.02, 1.454, 29

Structure:
Cell: 3.7648 3.9776 6.8706 Å, 90.00 90.00 90.00°
Atoms (fractional coordinates):
Li: 0.0000 0.0000 0.0000
Nd: 0.5000 0.5000 0.2458
Nd: 0.5000 0.5000 0.7542
Ir: 0.0000 0.0000 0.5000
N: 0.0000 0.5000 0.0000
N: 0.5000 0.0000 0.5000


(7)
# SrLi3IrN3
Calculated PXRD pattern, CuKα. Input: a crystal structure in OQMD, relaxed with PBE.
Peak positions follow from Bragg's law for the DFT cell and can differ from measured ones.

Main lines, in order of rising 2θ (10° ≤ 2θ ≤ 80°):
2θ (°), d_spacing, Rel. int.
17.62, 5.033, 79
25.04, 3.556, 55
28.62, 3.119, 61
29.70, 3.008, 100
32.82, 2.729, 25
36.63, 2.453, 52
41.72, 2.165, 24
52.05, 1.757, 29
52.70, 1.737, 32
57.33, 1.607, 26

Structure:
Cell: 7.3594 7.3594 7.3594 Å, 48.26 48.26 48.26°
Atoms (fractional coordinates):
Sr: 0.1591 0.1591 0.1591
Sr: 0.8409 0.8409 0.8409
Li: 0.0629 0.2656 0.5810
Li: 0.2656 0.5810 0.0629
Li: 0.4190 0.9371 0.7344
Li: 0.5810 0.0629 0.2656
Li: 0.7344 0.4190 0.9371
Li: 0.9371 0.7344 0.4190
Ir: 0.4169 0.4169 0.4169
Ir: 0.5831 0.5831 0.5831
N: 0.0946 0.4211 0.7210
N: 0.2790 0.9054 0.5789
N: 0.4211 0.7210 0.0946
N: 0.5789 0.2790 0.9054
N: 0.7210 0.0946 0.4211
N: 0.9054 0.5789 0.2790


(8)
# NaLiTcIr
Calculated PXRD pattern, CuKα. Input: a crystal structure in OQMD, relaxed with PBE.
Peak positions follow from Bragg's law for the DFT cell and can differ from measured ones.

Main lines, in order of rising 2θ (10° ≤ 2θ ≤ 80°):
2θ (°), d_spacing, Rel. int.
25.01, 3.561, 98
28.96, 3.084, 6
41.41, 2.180, 100
48.99, 1.859, 48
51.32, 1.780, 2
60.00, 1.542, 17
66.03, 1.415, 20
67.98, 1.379, 3
75.53, 1.259, 33

Structure:
Cell: 6.1671 6.1671 6.1671 Å, 90.00 90.00 90.00°
Atoms (fractional coordinates):
Na: 0.0000 0.0000 0.0000
Na: 0.0000 0.5000 0.5000
Na: 0.5000 0.0000 0.5000
Na: 0.5000 0.5000 0.0000
Li: 0.2500 0.2500 0.2500
Li: 0.2500 0.7500 0.7500
Li: 0.7500 0.2500 0.7500
Li: 0.7500 0.7500 0.2500
Tc: 0.0000 0.0000 0.5000
Tc: 0.0000 0.5000 0.0000
Tc: 0.5000 0.0000 0.0000
Tc: 0.5000 0.5000 0.5000
Ir: 0.2500 0.2500 0.7500
Ir: 0.2500 0.7500 0.2500
Ir: 0.7500 0.2500 0.2500
Ir: 0.7500 0.7500 0.7500


(9)
# LiNb3Sb4Ir4
Calculated PXRD pattern, CuKα. Input: a crystal structure in OQMD, relaxed with PBE.
Peak positions follow from Bragg's law for the DFT cell and can differ from measured ones.

Main lines, in order of rising 2θ (10° ≤ 2θ ≤ 80°):
2θ (°), d_spacing, Rel. int.
24.75, 3.597, 100
40.86, 2.208, 51
41.03, 2.200, 100
48.37, 1.882, 31
48.66, 1.871, 15
59.17, 1.562, 17
59.68, 1.549, 8
65.37, 1.428, 12
74.52, 1.273, 32
74.87, 1.268, 15

Structure:
Cell: 7.6099 7.6099 7.6099 Å, 131.54 131.54 70.96°
Atoms (fractional coordinates):
Li: 0.0000 0.0000 0.0000
Nb: 0.2500 0.7500 0.5000
Nb: 0.5000 0.5000 0.0000
Nb: 0.7500 0.2500 0.5000
Sb: 0.0000 0.5000 0.5000
Sb: 0.2362 0.2362 0.0000
Sb: 0.5000 0.0000 0.5000
Sb: 0.7638 0.7638 0.0000
Ir: 0.1343 0.6036 0.0000
Ir: 0.3964 0.3964 0.5307
Ir: 0.6036 0.1343 0.0000
Ir: 0.8657 0.8657 0.4693


(10)
# LiNd2Ir2
Calculated PXRD pattern, CuKα. Input: a crystal structure in OQMD, relaxed with PBE.
Peak positions follow from Bragg's law for the DFT cell and can differ from measured ones.

Main lines, in order of rising 2θ (10° ≤ 2θ ≤ 80°):
2θ (°), d_spacing, Rel. int.
20.30, 4.374, 51
22.90, 3.884, 34
24.86, 3.582, 30
31.66, 2.826, 27
34.57, 2.595, 22
36.96, 2.432, 61
37.14, 2.421, 46
37.61, 2.392, 100
40.94, 2.204, 39
41.97, 2.152, 28

Structure:
Cell: 5.7664 5.7664 8.1205 Å, 104.83 104.83 57.24°
Atoms (fractional coordinates):
Li: 0.1287 0.8713 0.7500
Li: 0.8713 0.1287 0.2500
Nd: 0.1983 0.5099 0.3518
Nd: 0.4901 0.8017 0.1482
Nd: 0.5099 0.1983 0.8518
Nd: 0.8017 0.4901 0.6482
Ir: 0.0141 0.7146 0.9879
Ir: 0.2854 0.9859 0.5121
Ir: 0.7146 0.0141 0.4879
Ir: 0.9859 0.2854 0.0121


(11)
# Li2Y2NiSn2Ir
Calculated PXRD pattern, CuKα. Input: a crystal structure in OQMD, relaxed with PBE.
Peak positions follow from Bragg's law for the DFT cell and can differ from measured ones.

Main lines, in order of rising 2θ (10° ≤ 2θ ≤ 80°):
2θ (°), d_spacing, Rel. int.
13.34, 6.635, 6
18.92, 4.691, 6
23.22, 3.831, 32
26.88, 3.317, 7
38.37, 2.346, 100
45.33, 2.000, 17
55.39, 1.659, 17
60.86, 1.522, 7
69.39, 1.354, 35
74.28, 1.277, 5

Structure:
Cell: 4.6912 4.6912 6.6354 Å, 90.00 90.00 90.00°
Atoms (fractional coordinates):
Li: 0.0000 0.0000 0.0000
Li: 0.5000 0.5000 0.5000
Y: 0.0000 0.5000 0.2455
Y: 0.5000 0.0000 0.7545
Ni: 0.5000 0.5000 0.0000
Sn: 0.0000 0.5000 0.7530
Sn: 0.5000 0.0000 0.2470
Ir: 0.0000 0.0000 0.5000


(12)
# Li5IrO4
Calculated PXRD pattern, CuKα. Input: a crystal structure in OQMD, relaxed with PBE.
Peak positions follow from Bragg's law for the DFT cell and can differ from measured ones.

Main lines, in order of rising 2θ (10° ≤ 2θ ≤ 80°):
2θ (°), d_spacing, Rel. int.
16.41, 5.401, 100
18.01, 4.925, 83
24.36, 3.654, 42
24.56, 3.625, 39
27.78, 3.212, 28
32.43, 2.761, 25
33.31, 2.690, 33
37.28, 2.412, 44
38.13, 2.360, 21
49.50, 1.841, 22

Structure:
Cell: 4.9248 3.2117 5.4015 Å, 90.00 90.45 90.00°
Atoms (fractional coordinates):
Li: 0.0000 0.0000 0.0000
Li: 0.3401 0.5000 0.1574
Li: 0.3662 0.0000 0.6789
Li: 0.6338 0.0000 0.3211
Li: 0.6599 0.5000 0.8426
Ir: 0.0000 0.5000 0.5000
O: 0.2198 0.0000 0.3421
O: 0.2524 0.5000 0.8236
O: 0.7476 0.5000 0.1764
O: 0.7802 0.0000 0.6579


Number 7 is which compound?
SrLi3IrN3